1.
NdDy4Fe2B6: calculated PXRD pattern (Cu Kα (weighted mean of Kα1 and Kα2)), based on a cell relaxed with GGA-PBE.

Crystal structure
Unit cell a=5.4162 b=5.4162 c=23.0339 alpha=90.00 beta=90.00 gamma=120.00
Space group R-3m (No. 166, hexagonal axes)
Symmetry-distinct sites (fractional):
Nd 0.0000 0.0000 0.0000 [3 per cell]
Dy 0.0000 0.0000 0.2505 [6 per cell]
Dy 0.0000 0.0000 0.4171 [6 per cell]
Fe 0.0000 0.0000 0.1175 [6 per cell]
B 0.0000 0.3323 0.5000 [18 per cell]

The 6 most intense peaks (10° ≤ 2θ ≤ 80°), low angle first:
| hkl | 2θ/deg | intensity |
| --- | --- | --- |
| 0 0 6 | 23.17 | 24 |
| 1 1 0 | 33.08 | 100 |
| 1 0 7 | 33.26 | 30 |
| 1 1 6 | 40.78 | 44 |
| 1 1 12 | 58.98 | 22 |
| 3 0 0 | 59.09 | 22 |

2.
Nd3Dy2Fe2B6: calculated PXRD pattern (Cu Kα (weighted mean of Kα1 and Kα2)), based on a cell relaxed with GGA-PBE.

Crystal structure
Unit cell a=5.4536 b=5.4536 c=23.7357 alpha=90.00 beta=90.00 gamma=120.00
Space group R-3m (No. 166, hexagonal axes)
Symmetry-distinct sites (fractional):
Nd 0.0000 0.0000 0.0000 [3 per cell]
Nd 0.0000 0.0000 0.4145 [6 per cell]
Dy 0.0000 0.0000 0.2478 [6 per cell]
Fe 0.0000 0.0000 0.1193 [6 per cell]
B 0.0000 0.3329 0.5000 [18 per cell]

The 6 most intense peaks (10° ≤ 2θ ≤ 80°), low angle first:
| hkl | 2θ/deg | intensity |
| --- | --- | --- |
| 0 0 6 | 22.47 | 22 |
| 0 1 5 | 26.62 | 26 |
| 1 0 7 | 32.51 | 24 |
| 1 1 0 | 32.85 | 100 |
| 0 1 8 | 35.74 | 24 |
| 1 1 6 | 40.17 | 42 |

3.
Nd3Dy2Fe2B6: calculated PXRD pattern (Cu Kα (weighted mean of Kα1 and Kα2)), based on a cell relaxed with GGA-PBE.

Crystal structure
Unit cell a=5.4498 b=5.4498 c=23.7982 alpha=90.00 beta=90.00 gamma=120.00
Space group R-3m (No. 166, hexagonal axes)
Symmetry-distinct sites (fractional):
Nd 0.0000 0.0000 0.0000 [3 per cell]
Nd 0.0000 0.0000 0.2533 [6 per cell]
Dy 0.0000 0.0000 0.4202 [6 per cell]
Fe 0.0000 0.0000 0.1199 [6 per cell]
B 0.0000 0.3330 0.5000 [18 per cell]

The 6 most intense peaks (10° ≤ 2θ ≤ 80°), low angle first:
| hkl | 2θ/deg | intensity |
| --- | --- | --- |
| 0 0 6 | 22.42 | 22 |
| 1 0 7 | 32.46 | 43 |
| 1 1 0 | 32.87 | 100 |
| 1 1 6 | 40.15 | 41 |
| 1 1 12 | 57.47 | 21 |
| 3 0 0 | 58.69 | 22 |

4.
DyFeNi3B: calculated PXRD pattern (Cu Kα (weighted mean of Kα1 and Kα2)), based on a cell relaxed with GGA-PBE.

Crystal structure
Unit cell a=5.0137 b=5.0137 c=6.9950 alpha=90.00 beta=90.00 gamma=120.00
Space group P6/mmm (No. 191)
Symmetry-distinct sites (fractional):
Dy 0.0000 0.0000 0.0000 [1 per cell]
Dy 0.0000 0.0000 0.5000 [1 per cell]
Fe 0.3333 0.6667 0.0000 [2 per cell]
Ni 0.0000 0.5000 0.2936 [6 per cell]
B 0.3333 0.6667 0.5000 [2 per cell]

The 6 most intense peaks (10° ≤ 2θ ≤ 80°), low angle first:
| hkl | 2θ/deg | intensity |
| --- | --- | --- |
| 1 0 2 | 32.88 | 97 |
| 1 1 0 | 35.82 | 30 |
| 2 0 0 | 41.60 | 80 |
| 1 1 2 | 44.46 | 100 |
| 2 1 2 | 62.52 | 31 |
| 3 0 2 | 70.40 | 24 |

5.
SmDyFe2Ni6B2: calculated PXRD pattern (Cu Kα (weighted mean of Kα1 and Kα2)), based on a cell relaxed with GGA-PBE.

Crystal structure
Unit cell a=5.0418 b=5.0418 c=7.0191 alpha=90.00 beta=90.00 gamma=120.00
Space group P6/mmm (No. 191)
Symmetry-distinct sites (fractional):
Sm 0.0000 0.0000 0.0000 [1 per cell]
Dy 0.0000 0.0000 0.5000 [1 per cell]
Fe 0.3333 0.6667 0.5000 [2 per cell]
Ni 0.0000 0.5000 0.2077 [6 per cell]
B 0.3333 0.6667 0.0000 [2 per cell]

The 6 most intense peaks (10° ≤ 2θ ≤ 80°), low angle first:
| hkl | 2θ/deg | intensity |
| --- | --- | --- |
| 1 0 2 | 32.74 | 95 |
| 1 1 0 | 35.61 | 30 |
| 2 0 0 | 41.36 | 80 |
| 1 1 2 | 44.24 | 100 |
| 2 1 2 | 62.16 | 30 |
| 3 0 2 | 69.98 | 24 |

6.
SmDyFe2Ni6B2: calculated PXRD pattern (Cu Kα (weighted mean of Kα1 and Kα2)), based on a cell relaxed with GGA-PBE.

Crystal structure
Unit cell a=5.0421 b=5.0421 c=7.0463 alpha=90.00 beta=90.00 gamma=120.00
Space group P6/mmm (No. 191)
Symmetry-distinct sites (fractional):
Sm 0.0000 0.0000 0.0000 [1 per cell]
Dy 0.0000 0.0000 0.5000 [1 per cell]
Fe 0.3333 0.6667 0.0000 [2 per cell]
Ni 0.0000 0.5000 0.2963 [6 per cell]
B 0.3333 0.6667 0.5000 [2 per cell]

The 6 most intense peaks (10° ≤ 2θ ≤ 80°), low angle first:
| hkl | 2θ/deg | intensity |
| --- | --- | --- |
| 1 0 2 | 32.66 | 95 |
| 1 1 0 | 35.61 | 30 |
| 2 0 0 | 41.35 | 80 |
| 1 1 2 | 44.17 | 100 |
| 2 1 2 | 62.10 | 30 |
| 3 0 2 | 69.93 | 24 |

7.
SmDyFe6Ni2B2: calculated PXRD pattern (Cu Kα (weighted mean of Kα1 and Kα2)), based on a cell relaxed with GGA-PBE.

Crystal structure
Unit cell a=5.0467 b=5.0467 c=7.0574 alpha=90.00 beta=90.00 gamma=120.00
Space group P6/mmm (No. 191)
Symmetry-distinct sites (fractional):
Sm 0.0000 0.0000 0.0000 [1 per cell]
Dy 0.0000 0.0000 0.5000 [1 per cell]
Fe 0.0000 0.5000 0.2883 [6 per cell]
Ni 0.3333 0.6667 0.0000 [2 per cell]
B 0.3333 0.6667 0.5000 [2 per cell]

The 6 most intense peaks (10° ≤ 2θ ≤ 80°), low angle first:
| hkl | 2θ/deg | intensity |
| --- | --- | --- |
| 1 0 2 | 32.61 | 87 |
| 1 1 0 | 35.58 | 34 |
| 2 0 0 | 41.31 | 67 |
| 1 1 2 | 44.12 | 100 |
| 2 1 2 | 62.03 | 27 |
| 3 0 2 | 69.85 | 24 |

8.
SmDyFe6Ni2B2: calculated PXRD pattern (Cu Kα (weighted mean of Kα1 and Kα2)), based on a cell relaxed with GGA-PBE.

Crystal structure
Unit cell a=5.0405 b=5.0405 c=7.0779 alpha=90.00 beta=90.00 gamma=120.00
Space group P6/mmm (No. 191)
Symmetry-distinct sites (fractional):
Sm 0.0000 0.0000 0.0000 [1 per cell]
Dy 0.0000 0.0000 0.5000 [1 per cell]
Fe 0.0000 0.5000 0.2142 [6 per cell]
Ni 0.3333 0.6667 0.5000 [2 per cell]
B 0.3333 0.6667 0.0000 [2 per cell]

The 6 most intense peaks (10° ≤ 2θ ≤ 80°), low angle first:
| hkl | 2θ/deg | intensity |
| --- | --- | --- |
| 1 0 2 | 32.57 | 87 |
| 1 1 0 | 35.62 | 33 |
| 2 0 0 | 41.37 | 67 |
| 1 1 2 | 44.11 | 100 |
| 2 1 2 | 62.07 | 27 |
| 3 0 2 | 69.90 | 24 |